(1)
The following is a computed PXRD pattern of Na3MnSiCO7. It was derived from a cell relaxed with PBE+U, using CuKα.

Principal peaks in the range 2θ = 10–90°, by angle:
two_theta, I/Imax, hkl
16.7, 16, 0 1 1
19.2, 15, 1 0 -1
25.5, 14, 1 0 -2
27.4, 41, 0 2 0
29.4, 15, 1 1 2
33.7, 34, 1 0 -3
33.8, 100, 2 0 0
41.4, 17, 2 1 -2
48.7, 19, 0 2 4
56.6, 17, 0 4 0

Atomic structure:
Cell: 5.307 6.504 9.134 Å, 90.00 91.07 90.00°
Space group P2_1/m (No. 11)
Asymmetric unit:
Na (0.216, 0.250, 0.092) (multiplicity 2)
Na (0.261, 0.507, 0.734) (multiplicity 4)
Mn (0.218, 0.750, 0.353) (multiplicity 2)
Si (0.307, 0.250, 0.427) (multiplicity 2)
C (0.285, 0.750, 0.054) (multiplicity 2)
O (0.087, 0.750, 0.140) (multiplicity 2)
O (0.157, 0.250, 0.580) (multiplicity 2)
O (0.244, 0.750, 0.914) (multiplicity 2)
O (0.245, 0.050, 0.320) (multiplicity 4)
O (0.382, 0.750, 0.541) (multiplicity 2)
O (0.492, 0.250, 0.889) (multiplicity 2)

=====

(2)
The following is a computed PXRD pattern of Li3Mn4B4O12. It was derived from a cell relaxed with PBE+U, using CuKα.

Principal peaks in the range 2θ = 10–90°, by angle:
two_theta, I/Imax, hkl
19.4, 27, 1 1 -1
19.5, 51, 0 2 0
21.3, 100, 1 1 -2
25.8, 56, 1 1 1
26.1, 33, 1 1 -3
34.1, 53, 1 3 -1
34.6, 78, 0 0 4
40.3, 40, 2 2 -1
48.4, 25, 1 1 -6
53.6, 21, 3 1 -2

Atomic structure:
Cell: 5.288 9.092 11.571 Å, 90.00 116.35 90.00°
Space group Pc (No. 7)
Asymmetric unit:
Li (0.000, 0.231, 0.000) (multiplicity 2)
Li (0.053, 0.259, 0.752) (multiplicity 2)
Li (0.501, 0.264, 0.523) (multiplicity 2)
Mn (0.045, 0.399, 0.227) (multiplicity 2)
Mn (0.469, 0.420, 0.977) (multiplicity 2)
Mn (0.509, 0.063, 0.721) (multiplicity 2)
Mn (0.946, 0.112, 0.463) (multiplicity 2)
B (0.021, 0.061, 0.208) (multiplicity 2)
B (0.434, 0.075, 0.964) (multiplicity 2)
B (0.535, 0.414, 0.722) (multiplicity 2)
B (0.951, 0.428, 0.473) (multiplicity 2)
O (0.098, 0.075, 0.674) (multiplicity 2)
O (0.116, 0.188, 0.182) (multiplicity 2)
O (0.170, 0.406, 0.437) (multiplicity 2)
O (0.296, 0.204, 0.949) (multiplicity 2)
O (0.328, 0.425, 0.766) (multiplicity 2)
O (0.385, 0.049, 0.526) (multiplicity 2)
O (0.626, 0.464, 0.179) (multiplicity 2)
O (0.631, 0.055, 0.914) (multiplicity 2)
O (0.646, 0.277, 0.716) (multiplicity 2)
O (0.795, 0.310, 0.478) (multiplicity 2)
O (0.850, 0.056, 0.271) (multiplicity 2)
O (0.895, 0.432, 0.004) (multiplicity 2)

=====

(3)
The following is a computed PXRD pattern of FeO2. It was derived from a cell relaxed with PBE+U, using CuKα.

Principal peaks in the range 2θ = 10–90°, by angle:
two_theta, I/Imax, hkl
18.2, 100, 0 1 1
18.4, 87, 1 0 1
35.2, 23, 1 2 1
35.5, 23, 2 1 1
35.8, 11, 1 0 3
36.9, 10, 0 2 2
42.9, 63, 2 2 0
43.6, 29, 0 0 4
56.6, 11, 2 3 1
62.8, 32, 2 2 4

Atomic structure:
Cell: 5.908 6.009 8.311 Å, 90.00 90.00 90.00°
Space group Imma (No. 74)
Asymmetric unit:
Fe (0.000, 0.000, 0.000) (multiplicity 4)
Fe (0.250, 0.250, 0.250) (multiplicity 4)
O (0.000, 0.030, 0.239) (multiplicity 8)
O (0.226, 0.250, 0.023) (multiplicity 8)

=====

(4)
The following is a computed PXRD pattern of KPrVWO6. It was derived from a cell relaxed with PBE+U, using CuKα.

Principal peaks in the range 2θ = 10–90°, by angle:
two_theta, I/Imax, hkl
19.1, 43, 1 1 1
31.5, 100, 2 2 0
37.1, 24, 3 1 1
45.2, 32, 4 0 0
49.5, 11, 3 3 1
56.1, 39, 4 2 2
59.8, 9, 5 1 1
65.8, 19, 4 4 0
69.2, 9, 5 3 1
74.7, 17, 6 2 0

Atomic structure:
Cell: 8.032 8.032 8.032 Å, 90.00 90.00 90.00°
Space group F-43m (No. 216)
Asymmetric unit:
K (0.000, 0.000, 0.000) (multiplicity 4)
Pr (0.000, 0.000, 0.500) (multiplicity 4)
V (0.250, 0.250, 0.250) (multiplicity 4)
W (0.250, 0.250, 0.750) (multiplicity 4)
O (0.008, 0.250, 0.750) (multiplicity 24)